Starting from a structure optimized by DFT (GGA+U), the powder XRD pattern of BaCr2RuO8 was computed for Cu Kα X-rays.
Neutral-atom scattering factors, no anomalous dispersion.

a b c (Å): 5.3362 5.3362 7.4155
angles (deg): 90.00 90.00 120.00
Space group P-3 (No. 147)
Symmetry-distinct sites (fractional):
Ba: 0.0000 0.0000 0.0000
Cr: 0.3333 0.6667 0.7342
Ru: 0.0000 0.0000 0.5000
O: 0.0848 0.3283 0.6652
O: 0.3333 0.6667 0.9597

Top 10 peaks for 10° ≤ 2θ ≤ 90°, sorted by position:
2theta, d/Å, Rel. int.
19.21, 4.621, 72
22.67, 3.922, 47
30.92, 2.892, 100
33.59, 2.668, 63
41.71, 2.166, 21
46.30, 1.961, 38
58.40, 1.580, 33
60.06, 1.540, 15
60.84, 1.522, 26
79.05, 1.211, 13